Theoretical powder diffraction line list
Compound: AcAlSiNi6
Radiation: λ = 1.5418 Å (Cu Kα)
Structure: a cell relaxed with GGA-PBE
Lines closer than 0.1° are merged.

Principal peaks in the range 10° ≤ 2θ ≤ 80°, low angle first:
(hkl)  2theta  d [Å]  I_rel
1 0 1  15.7  5.635  509
1 0 3  24.9  3.578  860
1 2 1  30.9  2.894  1000
2 0 2  31.8  2.818  640
1 1 4  33.6  2.664  444
2 1 3  37.9  2.376  590
2 2 0  39.3  2.291  935
3 2 3  56.0  1.641  440

Structure:
```
data_AcAlSiNi6
_cell_length_a 6.243
_cell_length_b 6.746
_cell_length_c 13.097
_cell_angle_alpha 90.00
_cell_angle_beta 90.00
_cell_angle_gamma 90.00
_symmetry_space_group_name_H-M 'I m m a'
_symmetry_Int_Tables_number 74
_symmetry_space_group_name_Hall '-I 2b 2'
loop_
_atom_site_label
_atom_site_type_symbol
_atom_site_fract_x
_atom_site_fract_y
_atom_site_fract_z
Ac1 Ac 0.000 0.250 0.029
Al1 Al 0.000 0.000 0.500
Si1 Si 0.250 0.250 0.250
Ni1 Ni 0.000 0.250 0.372
Ni2 Ni 0.000 0.250 0.786
Ni3 Ni 0.203 0.054 0.658
```

---

Theoretical powder diffraction line list
Compound: Tb2PmDy7
Radiation: λ = 1.5418 Å (Cu Kα)
Structure: a cell relaxed with GGA-PBE
Lines closer than 0.1° are merged.

Principal peaks in the range 10° ≤ 2θ ≤ 80°, low angle first:
(hkl)  2theta  d [Å]  I_rel
2 0 1  30.8  2.901  1000
2 2 0  35.7  2.513  506
1 4 1  51.4  1.777  301
3 2 3  51.5  1.775  60
0 4 3  61.1  1.517  143
4 2 1  61.2  1.514  285
4 0 2  64.2  1.451  123
4 4 0  75.8  1.255  38

Structure:
```
data_Tb2PmDy7
_cell_length_a 6.148
_cell_length_b 7.113
_cell_length_c 7.942
_cell_angle_alpha 77.06
_cell_angle_beta 75.08
_cell_angle_gamma 73.30
_symmetry_space_group_name_H-M 'P -1'
_symmetry_Int_Tables_number 2
loop_
_symmetry_equiv_pos_as_xyz
'x,y,z'
'-x,-y,-z'
loop_
_atom_site_label
_atom_site_type_symbol
_atom_site_fract_x
_atom_site_fract_y
_atom_site_fract_z
Tb1 Tb 0.200 0.299 0.100
Pm1 Pm 0.000 0.500 0.500
Dy1 Dy 0.000 0.000 0.500
Dy2 Dy 0.200 0.801 0.100
Dy3 Dy 0.400 0.600 0.701
Dy4 Dy 0.401 0.099 0.701
```

---

Theoretical powder diffraction line list
Compound: Rb2SbIrBr6
Radiation: λ = 1.5418 Å (Cu Kα)
Structure: a cell relaxed with GGA-PBE
Lines closer than 0.1° are merged.

Principal peaks in the range 10° ≤ 2θ ≤ 80°, low angle first:
(hkl)  2theta  d [Å]  I_rel
1 1 0  16.2  5.478  827
2 0 0  23.0  3.874  824
2 0 2  28.2  3.163  395
0 0 4  32.6  2.747  505
2 2 0  32.7  2.736  1000
3 1 2  40.3  2.237  358
2 2 4  46.9  1.938  705
4 0 4  58.3  1.581  356

Structure:
```
data_Rb2SbIrBr6
_cell_length_a 7.737
_cell_length_b 7.737
_cell_length_c 10.986
_cell_angle_alpha 90.00
_cell_angle_beta 90.00
_cell_angle_gamma 90.00
_symmetry_space_group_name_H-M 'I 4/m m m'
_symmetry_Int_Tables_number 139
_symmetry_space_group_name_Hall '-I 4 2'
loop_
_atom_site_label
_atom_site_type_symbol
_atom_site_fract_x
_atom_site_fract_y
_atom_site_fract_z
Rb1 Rb 0.000 0.500 0.250
Sb1 Sb 0.000 0.000 0.000
Ir1 Ir 0.000 0.000 0.500
Br1 Br 0.000 0.000 0.264
Br2 Br 0.236 0.236 0.500
```

---

Theoretical powder diffraction line list
Compound: Na2CdIn10
Radiation: λ = 1.5418 Å (Cu Kα)
Structure: a cell relaxed with GGA-PBE
Lines closer than 0.1° are merged.

Principal peaks in the range 10° ≤ 2θ ≤ 80°, low angle first:
(hkl)  2theta  d [Å]  I_rel
0 1 0  14.0  6.336  1000
4 0 -1  32.2  2.777  127
4 0 1  33.0  2.711  402
2 2 1  33.5  2.678  142
4 1 0  34.9  2.572  120
1 2 -3  36.5  2.463  123
3 0 -4  36.8  2.443  115
1 0 -5  37.0  2.428  227

Structure:
```
data_Na2CdIn10
_cell_length_a 11.273
_cell_length_b 6.336
_cell_length_c 12.296
_cell_angle_alpha 90.00
_cell_angle_beta 93.18
_cell_angle_gamma 90.00
_symmetry_space_group_name_H-M 'P 1 2/m 1'
_symmetry_Int_Tables_number 10
loop_
_symmetry_equiv_pos_as_xyz
'x,y,z'
'-x,-y,-z'
'-x,y,-z'
'x,-y,z'
loop_
_atom_site_label
_atom_site_type_symbol
_atom_site_fract_x
_atom_site_fract_y
_atom_site_fract_z
Na1 Na 0.125 0.000 0.158
Na2 Na 0.374 0.000 0.642
Cd1 Cd 0.000 0.500 0.500
Cd2 Cd 0.500 0.500 0.000
In1 In 0.036 0.500 0.877
In2 In 0.095 0.228 0.686
In3 In 0.181 0.500 0.304
In4 In 0.233 0.500 0.052
In5 In 0.268 0.500 0.550
In6 In 0.318 0.500 0.805
In7 In 0.414 0.227 0.185
In8 In 0.462 0.500 0.380
```

---

Theoretical powder diffraction line list
Compound: Mg2C
Radiation: λ = 1.5418 Å (Cu Kα)
Structure: a cell relaxed with GGA-PBE
Lines closer than 0.1° are merged.

Principal peaks in the range 10° ≤ 2θ ≤ 80°, low angle first:
(hkl)  2theta  d [Å]  I_rel
1 0 1  25.6  3.481  82
1 1 0  31.4  2.848  83
1 1 1  36.5  2.464  1000
0 0 2  36.6  2.457  133
1 1 2  49.0  1.860  270
3 0 0  55.9  1.644  253
2 -1 3  65.8  1.420  158
2 2 1  68.7  1.367  271

Structure:
```
data_Mg2C
_cell_length_a 5.6956
_cell_length_b 5.6956
_cell_length_c 4.9145
_cell_angle_alpha 90.00
_cell_angle_beta 90.00
_cell_angle_gamma 120.00
_symmetry_space_group_name_H-M 'P -3 1 m'
_symmetry_Int_Tables_number 162
_symmetry_space_group_name_Hall '-P 3 2'
loop_
_atom_site_label
_atom_site_type_symbol
_atom_site_fract_x
_atom_site_fract_y
_atom_site_fract_z
Mg1 Mg 0.0000 0.3320 0.2682
C1 C 0.0000 0.0000 0.0000
C2 C 0.3333 0.6667 0.5000
```

---

Theoretical powder diffraction line list
Compound: Cs3BiH2
Radiation: λ = 1.5418 Å (Cu Kα)
Structure: a cell relaxed with GGA-PBE
Lines closer than 0.1° are merged.

Principal peaks in the range 10° ≤ 2θ ≤ 80°, low angle first:
(hkl)  2theta  d [Å]  I_rel
-1 1 1  22.5  3.958  1000
1 1 -1  25.0  3.558  962
0 1 -4  25.5  3.497  948
1 0 3  26.4  3.378  864
0 1 4  27.9  3.200  650
0 2 0  28.8  3.101  629
1 0 -5  32.4  2.766  405
1 -2 3  36.0  2.496  314

Structure:
```
data_Cs3BiH2
_cell_length_a 4.832
_cell_length_b 6.289
_cell_length_c 15.978
_cell_angle_alpha 94.87
_cell_angle_beta 94.89
_cell_angle_gamma 97.66
_symmetry_space_group_name_H-M 'P -1'
_symmetry_Int_Tables_number 2
loop_
_symmetry_equiv_pos_as_xyz
'x,y,z'
'-x,-y,-z'
loop_
_atom_site_label
_atom_site_type_symbol
_atom_site_fract_x
_atom_site_fract_y
_atom_site_fract_z
Cs1 Cs 0.140 0.200 0.300
Cs2 Cs 0.214 0.726 0.930
Cs3 Cs 0.267 0.267 0.575
Bi1 Bi 0.438 0.731 0.183
H1 H 0.175 0.292 0.801
H2 H 0.289 0.759 0.555
```

---

Theoretical powder diffraction line list
Compound: B2OsW2
Radiation: λ = 1.5418 Å (Cu Kα)
Structure: a cell relaxed with GGA-PBE
Lines closer than 0.1° are merged.

Principal peaks in the range 10° ≤ 2θ ≤ 80°, low angle first:
(hkl)  2theta  d [Å]  I_rel
2 1 0  34.0  2.634  725
1 1 2  34.8  2.581  583
2 0 2  41.1  2.194  972
2 2 0  43.5  2.083  249
2 1 2  44.0  2.056  1000
3 1 0  48.9  1.863  520
4 1 2  72.1  1.310  302
3 3 2  74.1  1.279  285

Structure:
```
data_B2OsW2
_cell_length_a 5.891
_cell_length_b 5.891
_cell_length_c 6.577
_cell_angle_alpha 90.00
_cell_angle_beta 90.00
_cell_angle_gamma 90.00
_symmetry_space_group_name_H-M 'P 4/m n c'
_symmetry_Int_Tables_number 128
_symmetry_space_group_name_Hall '-P 4 2n'
loop_
_atom_site_label
_atom_site_type_symbol
_atom_site_fract_x
_atom_site_fract_y
_atom_site_fract_z
B1 B 0.114 0.386 0.250
Os1 Os 0.000 0.000 0.211
W1 W 0.154 0.693 0.500
```

---

Theoretical powder diffraction line list
Compound: Sm3Ho6TmTh2
Radiation: λ = 1.5418 Å (Cu Kα)
Structure: a cell relaxed with GGA-PBE
Lines closer than 0.1° are merged.

Principal peaks in the range 10° ≤ 2θ ≤ 80°, low angle first:
(hkl)  2theta  d [Å]  I_rel
1 3 1  30.8  2.904  1000
0 0 4  30.9  2.892  328
2 0 2  35.7  2.513  673
0 6 0  51.3  1.780  242
1 3 5  51.5  1.774  238
4 0 0  61.1  1.516  335
0 6 4  61.2  1.515  95
2 0 6  61.3  1.512  141

Structure:
```
data_Sm3Ho6TmTh2
_cell_length_a 6.166
_cell_length_b 10.674
_cell_length_c 11.750
_cell_angle_alpha 90.00
_cell_angle_beta 100.09
_cell_angle_gamma 90.00
_symmetry_space_group_name_H-M 'C 1 2/m 1'
_symmetry_Int_Tables_number 12
loop_
_symmetry_equiv_pos_as_xyz
'x,y,z'
'-x,-y,-z'
'-x,y,-z'
'x,-y,z'
'x+1/2,y+1/2,z'
'-x+1/2,-y+1/2,-z'
'-x+1/2,y+1/2,-z'
'x+1/2,-y+1/2,z'
loop_
_atom_site_label
_atom_site_type_symbol
_atom_site_fract_x
_atom_site_fract_y
_atom_site_fract_z
Sm1 Sm 0.000 0.000 0.000
Sm2 Sm 0.000 0.334 0.000
Ho1 Ho 0.245 0.000 0.746
Ho2 Ho 0.250 0.168 0.254
Tm1 Tm 0.000 0.500 0.500
Th1 Th 0.000 0.167 0.500
```